Starting from a structure optimized by DFT (PBE), the X-ray powder pattern of TlAgAs was computed for Cu Kα X-rays.
Kinematic intensities with the Lorentz-polarization factor, no thermal factor.

Structural model:
a b c (Å): 12.7830 4.6546 7.1898
angles (deg): 90.00 90.00 90.00
Atoms (fractional coordinates):
Tl: 0.0337 0.0000 0.2304
Tl: 0.2500 0.0000 0.5963
Tl: 0.4663 0.0000 0.2304
Tl: 0.5337 0.0000 0.7696
Tl: 0.7500 0.0000 0.4037
Tl: 0.9663 0.0000 0.7696
Ag: 0.1296 0.5000 0.9052
Ag: 0.2500 0.5000 0.2501
Ag: 0.3704 0.5000 0.9052
Ag: 0.6296 0.5000 0.0948
Ag: 0.7500 0.5000 0.7499
Ag: 0.8704 0.5000 0.0948
As: 0.0973 0.5000 0.5342
As: 0.2500 0.0000 0.0230
As: 0.4027 0.5000 0.5342
As: 0.5973 0.5000 0.4658
As: 0.7500 0.0000 0.9770
As: 0.9027 0.5000 0.4658

Top 6 peaks for 2θ = 15–90°, low angle first:
| d (Å) | 2theta | Rel. int. |
| --- | --- | --- |
| 2.880 | 31.1 | 98 |
| 2.777 | 32.2 | 33 |
| 2.635 | 34.0 | 72 |
| 2.599 | 34.5 | 100 |
| 2.327 | 38.7 | 59 |
| 1.655 | 55.5 | 37 |

---

Starting from a structure optimized by DFT (PBE), the X-ray powder pattern of NiPtRh3 was computed for Cu Kα X-rays.
Kinematic intensities with the Lorentz-polarization factor, no thermal factor.

Structural model:
a b c (Å): 7.1503 7.1503 5.4451
angles (deg): 100.91 100.91 30.74
Atoms (fractional coordinates):
Ni: 0.0002 0.0002 0.2453
Ni: 0.9998 0.9998 0.7547
Pt: 0.4025 0.4025 0.4507
Pt: 0.5975 0.5975 0.5493
Rh: 0.1995 0.1995 0.3466
Rh: 0.2003 0.2003 0.8532
Rh: 0.4037 0.4037 0.9516
Rh: 0.5963 0.5963 0.0484
Rh: 0.7997 0.7997 0.1468
Rh: 0.8005 0.8005 0.6534

Top 6 peaks for 2θ = 15–90°, low angle first:
| d (Å) | 2theta | Rel. int. |
| --- | --- | --- |
| 2.211 | 40.8 | 100 |
| 2.201 | 41.0 | 98 |
| 1.919 | 47.4 | 65 |
| 1.895 | 48.0 | 31 |
| 1.348 | 69.8 | 40 |
| 1.158 | 83.5 | 24 |

---

Starting from a structure optimized by DFT (PBE), the X-ray powder pattern of SmTmGe2Pd5 was computed for Cu Kα X-rays.
Kinematic intensities with the Lorentz-polarization factor, no thermal factor.

Structural model:
a b c (Å): 4.2463 4.2463 9.1070
angles (deg): 90.00 90.00 90.00
Atoms (fractional coordinates):
Sm: 0.0000 0.0000 0.0000
Tm: 0.0000 0.0000 0.5000
Ge: 0.5000 0.5000 0.3668
Ge: 0.5000 0.5000 0.6332
Pd: 0.0000 0.5000 0.2286
Pd: 0.0000 0.5000 0.7714
Pd: 0.5000 0.0000 0.2286
Pd: 0.5000 0.0000 0.7714
Pd: 0.5000 0.5000 0.0000

Top 6 peaks for 2θ = 15–90°, low angle first:
| d (Å) | 2theta | Rel. int. |
| --- | --- | --- |
| 2.507 | 35.8 | 100 |
| 2.135 | 42.3 | 13 |
| 2.123 | 42.6 | 46 |
| 1.553 | 59.5 | 14 |
| 1.501 | 61.8 | 15 |
| 1.288 | 73.5 | 24 |